# 1
Structure and calculated powder diffractogram of Tl2Re3S6 (a PBE-relaxed structure; Cu Kα, 1.54184 Å).
Lines closer than 0.1° are merged.

Peak list (10 most intense, 15 to 90 degrees two-theta, sorted by position)
2theta	d/Å	intensity
17.9	4.952	48.0
18.1	4.896	57.4
19.7	4.517	100.0
25.9	3.442	69.0
28.5	3.127	65.1
31.7	2.826	98.0
38.8	2.318	41.4
39.0	2.311	41.5
46.8	1.942	51.3
47.4	1.920	44.0

Lattice parameters (Å, degrees): 16.8091 9.9038 11.9981 90.00 90.07 90.00
Space group C2/c (No. 15)
Asymmetric unit:
Tl (0.0000, 0.0856, 0.2500)
Tl (0.0000, 0.2930, 0.7500)
Tl (0.1151, 0.2614, 0.4868)
Re (0.1578, 0.3499, 0.0254)
Re (0.2052, 0.1791, 0.8689)
Re (0.2072, 0.1060, 0.0825)
S (0.0336, 0.4758, 0.0727)
S (0.0839, 0.1459, 0.9791)
S (0.1464, 0.0850, 0.6935)
S (0.1639, 0.4101, 0.8310)
S (0.1681, 0.2755, 0.2169)
S (0.2464, 0.4625, 0.5688)


# 2
Structure and calculated powder diffractogram of Sc2Re3Si4 (a PBE-relaxed structure; Cu Kα, 1.54184 Å).
Lines closer than 0.1° are merged.

Peak list (10 most intense, 15 to 90 degrees two-theta, sorted by position)
2theta	d/Å	intensity
20.2	4.389	55.6
28.7	3.111	99.6
30.5	2.928	89.0
34.6	2.594	50.9
37.2	2.414	50.1
39.1	2.304	74.2
41.0	2.202	100.0
43.4	2.083	47.1
43.8	2.068	68.2
67.0	1.397	45.0

Lattice parameters (Å, degrees): 6.6311 6.6311 12.4738 90.00 90.00 90.00
Space group P4_12_12 (No. 92)
Asymmetric unit:
Sc (0.0075, 0.3413, 0.2190)
Re (0.0177, 0.1855, 0.6174)
Re (0.1680, 0.1680, 0.0000)
Si (0.0262, 0.2786, 0.8123)
Si (0.1208, 0.8045, 0.9304)


# 3
Structure and calculated powder diffractogram of Sc3Re2Si4 (a PBE-relaxed structure; Cu Kα, 1.54184 Å).
Lines closer than 0.1° are merged.

Peak list (10 most intense, 15 to 90 degrees two-theta, sorted by position)
2theta	d/Å	intensity
18.3	4.848	61.6
22.2	4.001	79.1
24.1	3.690	60.2
26.9	3.309	66.2
34.7	2.586	75.4
37.3	2.409	70.0
39.7	2.269	52.8
39.9	2.262	86.6
41.5	2.178	100.0
43.0	2.106	52.1

Lattice parameters (Å, degrees): 19.6546 5.3657 13.7462 90.00 125.47 90.00
Space group C2/c (No. 15)
Asymmetric unit:
Sc (0.0818, 0.1158, 0.1578)
Sc (0.1167, 0.1358, 0.4536)
Sc (0.1642, 0.3717, 0.8610)
Re (0.0254, 0.3870, 0.9232)
Re (0.2359, 0.0909, 0.7172)
Si (0.0000, 0.1394, 0.7500)
Si (0.0000, 0.3881, 0.2500)
Si (0.1156, 0.3858, 0.6250)
Si (0.1746, 0.2767, 0.0720)
Si (0.2274, 0.1205, 0.3897)


# 4
Structure and calculated powder diffractogram of Sc5Re8Si12 (a PBE-relaxed structure; Cu Kα, 1.54184 Å).
Lines closer than 0.1° are merged.

Peak list (10 most intense, 15 to 90 degrees two-theta, sorted by position)
2theta	d/Å	intensity
21.8	4.086	44.6
22.5	3.959	50.2
26.2	3.405	93.3
28.9	3.091	70.4
35.3	2.545	63.7
36.6	2.454	55.5
37.9	2.371	49.9
40.8	2.214	95.5
42.3	2.138	49.3
42.4	2.131	100.0

Lattice parameters (Å, degrees): 14.5063 19.7801 5.2680 90.00 90.00 90.00
Space group Amm2 (No. 38)
Asymmetric unit:
Sc (0.0000, 0.0000, 0.0000)
Sc (0.1732, 0.1356, 0.7126)
Sc (0.3247, 0.1341, 0.2093)
Sc (0.5000, 0.0000, 0.4757)
Re (0.0000, 0.1006, 0.4646)
Re (0.1241, 0.2058, 0.2040)
Re (0.2206, 0.0000, 0.9296)
Re (0.2691, 0.0000, 0.4374)
Re (0.3925, 0.2011, 0.7075)
Re (0.5000, 0.0837, 0.9638)
Si (0.0000, 0.1400, 0.9673)
Si (0.0000, 0.2194, 0.5432)
Si (0.1033, 0.0000, 0.5744)
Si (0.1467, 0.0810, 0.2194)
Si (0.2578, 0.2501, 0.4583)
Si (0.3514, 0.0782, 0.7133)
Si (0.3787, 0.0000, 0.0877)
Si (0.5000, 0.1310, 0.4485)
Si (0.5000, 0.2078, 0.0720)


# 5
Structure and calculated powder diffractogram of ScRe2Si3 (a PBE-relaxed structure; Cu Kα, 1.54184 Å).
Lines closer than 0.1° are merged.

Peak list (10 most intense, 15 to 90 degrees two-theta, sorted by position)
2theta	d/Å	intensity
22.1	4.023	33.0
22.8	3.907	36.2
26.1	3.417	66.7
29.4	3.035	41.6
35.6	2.523	40.1
37.4	2.403	37.2
37.9	2.372	35.2
41.2	2.192	37.0
41.5	2.177	51.2
42.5	2.127	100.0

Lattice parameters (Å, degrees): 14.6198 19.2736 5.2274 90.00 90.00 90.00
Space group Fmm2 (No. 42)
Asymmetric unit:
Sc (0.1755, 0.1340, 0.0000)
Re (0.0000, 0.0872, 0.2443)
Re (0.1131, 0.2023, 0.5064)
Re (0.2316, 0.0000, 0.7758)
Si (0.0000, 0.1206, 0.7437)
Si (0.0000, 0.2107, 0.1463)
Si (0.1101, 0.0000, 0.0845)
Si (0.1434, 0.0745, 0.4971)
Si (0.2500, 0.2500, 0.2544)


# 6
Structure and calculated powder diffractogram of ScReTc2 (a PBE-relaxed structure; Cu Kα, 1.54184 Å).
Lines closer than 0.1° are merged.

Peak list (8 most intense, 15 to 90 degrees two-theta, sorted by position)
2theta	d/Å	intensity
24.5	3.632	25.4
40.6	2.224	100.0
48.0	1.897	13.5
58.7	1.573	16.6
64.6	1.443	5.8
73.8	1.284	33.2
79.1	1.211	4.5
87.8	1.112	10.8

Lattice parameters (Å, degrees): 6.2908 6.2908 6.2908 90.00 90.00 90.00
Space group Fm-3m (No. 225)
Asymmetric unit:
Sc (0.0000, 0.0000, 0.0000)
Re (0.0000, 0.0000, 0.5000)
Tc (0.2500, 0.2500, 0.2500)


# 7
Structure and calculated powder diffractogram of Re2Si (a PBE-relaxed structure; Cu Kα, 1.54184 Å).
Lines closer than 0.1° are merged.

Peak list (10 most intense, 15 to 90 degrees two-theta, sorted by position)
2theta	d/Å	intensity
15.2	5.845	26.9
28.4	3.145	23.5
35.0	2.561	20.3
35.9	2.503	25.2
39.2	2.297	22.2
41.6	2.168	100.0
41.8	2.161	46.3
44.6	2.031	38.3
47.5	1.913	28.9
49.3	1.847	20.6

Lattice parameters (Å, degrees): 5.8585 10.0276 5.9729 90.00 93.88 90.00
Space group P2_1/c (No. 14)
Asymmetric unit:
Re (0.0759, 0.0696, 0.3097)
Re (0.1118, 0.1694, 0.9019)
Re (0.2375, 0.6905, 0.9167)
Re (0.3836, 0.0317, 0.6748)
Si (0.2853, 0.5652, 0.5276)
Si (0.4418, 0.2032, 0.2658)


# 8
Structure and calculated powder diffractogram of ReSi2 (a PBE-relaxed structure; Cu Kα, 1.54184 Å).
Lines closer than 0.1° are merged.

Peak list (10 most intense, 15 to 90 degrees two-theta, sorted by position)
2theta	d/Å	intensity
22.6	3.933	49.1
30.2	2.961	100.0
39.9	2.260	57.1
44.7	2.027	82.5
46.3	1.959	31.1
57.7	1.598	19.4
62.6	1.483	13.4
66.5	1.406	22.0
75.8	1.255	35.2
85.7	1.134	13.1

Lattice parameters (Å, degrees): 3.1959 3.1959 7.8657 90.00 90.00 90.00
Space group I4/mmm (No. 139)
Asymmetric unit:
Re (0.0000, 0.0000, 0.0000)
Si (0.0000, 0.0000, 0.3313)